This entry pairs a crystal structure of K3Na5Cd2 with its theoretical PXRD pattern. Radiation: λ = 1.5418 Å (Cu Kα). Structure: a crystal structure in Alexandria, relaxed with GGA-PBE.

Most intense lines, 5° ≤ 2θ ≤ 70°, most intense first:
| two_theta | I_rel |
| --- | --- |
| 28.18 | 100 |
| 30.74 | 95 |
| 9.83 | 71 |
| 15.57 | 64 |
| 33.13 | 46 |
| 17.29 | 45 |

a b c (Å): 12.7287 12.7287 5.1296
angles (deg): 90.00 90.00 90.00
Positions (direct):
K 0.0000 0.0000 0.0000
K 0.1745 0.3255 0.0000
K 0.3255 0.8255 0.0000
K 0.5000 0.5000 0.0000
K 0.6745 0.1745 0.0000
K 0.8255 0.6745 0.0000
Na 0.0000 0.5000 0.5000
Na 0.0727 0.7734 0.5000
Na 0.2266 0.0727 0.5000
Na 0.2734 0.5727 0.5000
Na 0.4273 0.2734 0.5000
Na 0.5000 0.0000 0.5000
Na 0.5727 0.7266 0.5000
Na 0.7266 0.4273 0.5000
Na 0.7734 0.9273 0.5000
Na 0.9273 0.2266 0.5000
Cd 0.1171 0.6171 0.0000
Cd 0.3829 0.1171 0.0000
Cd 0.6171 0.8829 0.0000
Cd 0.8829 0.3829 0.0000

---

This entry pairs a crystal structure of MnCrFe with its theoretical PXRD pattern. Radiation: λ = 1.5418 Å (Cu Kα). Structure: a crystal structure in Alexandria, relaxed with GGA-PBE.

Most intense lines, 5° ≤ 2θ ≤ 70°, most intense first:
| two_theta | I_rel |
| --- | --- |
| 45.25 | 100 |
| 45.50 | 20 |
| 66.14 | 11 |
| 65.66 | 6 |

a b c (Å): 2.8438 4.0046 11.9619
angles (deg): 90.00 90.00 90.00
Positions (direct):
Mn 0.0000 0.0000 0.0000
Mn 0.0000 0.5000 0.5000
Mn 0.5000 0.0000 0.5000
Mn 0.5000 0.5000 0.0000
Cr 0.0000 0.0000 0.6635
Cr 0.0000 0.5000 0.1635
Cr 0.5000 0.0000 0.1635
Cr 0.5000 0.5000 0.6635
Fe 0.0000 0.0000 0.3312
Fe 0.0000 0.5000 0.8312
Fe 0.5000 0.0000 0.8312
Fe 0.5000 0.5000 0.3312

---

This entry pairs a crystal structure of SmAl4Ag2 with its theoretical PXRD pattern. Radiation: λ = 1.5418 Å (Cu Kα). Structure: a crystal structure in Alexandria, relaxed with GGA-PBE.

Most intense lines, 5° ≤ 2θ ≤ 70°, most intense first:
| two_theta | I_rel |
| --- | --- |
| 31.27 | 100 |
| 35.13 | 99 |
| 39.24 | 71 |
| 39.02 | 71 |
| 22.33 | 61 |
| 34.03 | 60 |

a b c (Å): 9.4419 6.6603 5.1576
angles (deg): 90.00 122.50 90.00
Positions (direct):
Sm 0.0000 0.0000 0.0000
Sm 0.5000 0.5000 0.0000
Al 0.1881 0.2026 0.7059
Al 0.1881 0.7974 0.7059
Al 0.3119 0.2974 0.2941
Al 0.3119 0.7026 0.2941
Al 0.6881 0.2974 0.7059
Al 0.6881 0.7026 0.7059
Al 0.8119 0.2026 0.2941
Al 0.8119 0.7974 0.2941
Ag 0.0600 0.5000 0.3053
Ag 0.4400 0.0000 0.6947
Ag 0.5600 0.0000 0.3053
Ag 0.9400 0.5000 0.6947

---

This entry pairs a crystal structure of TiNb2Zn2O8 with its theoretical PXRD pattern. Radiation: λ = 1.5418 Å (Cu Kα). Structure: a crystal structure in Alexandria, relaxed with GGA-PBE.

Most intense lines, 5° ≤ 2θ ≤ 70°, most intense first:
| two_theta | I_rel |
| --- | --- |
| 27.53 | 100 |
| 32.23 | 95 |
| 34.76 | 93 |
| 32.50 | 63 |
| 33.77 | 61 |
| 61.04 | 37 |

a b c (Å): 10.1295 10.1295 5.3092
angles (deg): 90.59 90.59 33.91
Positions (direct):
Ti 0.1319 0.8681 0.7500
Ti 0.8681 0.1319 0.2500
Nb 0.2437 0.5279 0.2341
Nb 0.4721 0.7563 0.2659
Nb 0.5279 0.2437 0.7341
Nb 0.7563 0.4721 0.7659
Zn 0.0698 0.3669 0.2752
Zn 0.3669 0.0698 0.7752
Zn 0.6331 0.9302 0.2248
Zn 0.9302 0.6331 0.7248
O 0.0415 0.3448 0.6411
O 0.0721 0.8190 0.0815
O 0.1810 0.9279 0.4185
O 0.2194 0.4284 0.9245
O 0.2936 0.5757 0.5895
O 0.3448 0.0415 0.1411
O 0.4243 0.7064 0.9105
O 0.4284 0.2194 0.4245
O 0.5716 0.7806 0.5755
O 0.5757 0.2936 0.0895
O 0.6552 0.9585 0.8589
O 0.7064 0.4243 0.4105
O 0.7806 0.5716 0.0755
O 0.8190 0.0721 0.5815
O 0.9279 0.1810 0.9185
O 0.9585 0.6552 0.3589

---

This entry pairs a crystal structure of PmFeH6Pd with its theoretical PXRD pattern. Radiation: λ = 1.5418 Å (Cu Kα). Structure: a crystal structure in Alexandria, relaxed with GGA-PBE.

Most intense lines, 5° ≤ 2θ ≤ 70°, most intense first:
| two_theta | I_rel |
| --- | --- |
| 30.69 | 100 |
| 39.26 | 45 |
| 59.00 | 27 |
| 50.63 | 24 |
| 65.88 | 22 |
| 42.20 | 12 |

a b c (Å): 4.5898 4.5898 4.2825
angles (deg): 90.00 90.00 120.00
Positions (direct):
Pm 0.0000 0.0000 0.0000
Fe 0.3333 0.6667 0.5000
H 0.0366 0.5183 0.2363
H 0.0366 0.5183 0.7637
H 0.4817 0.5183 0.2363
H 0.4817 0.5183 0.7637
H 0.4817 0.9634 0.2363
H 0.4817 0.9634 0.7637
Pd 0.6667 0.3333 0.5000

---

This entry pairs a crystal structure of Na2CaPuBr6 with its theoretical PXRD pattern. Radiation: λ = 1.5418 Å (Cu Kα). Structure: a crystal structure in Alexandria, relaxed with GGA-PBE.

Most intense lines, 5° ≤ 2θ ≤ 70°, most intense first:
| two_theta | I_rel |
| --- | --- |
| 27.13 | 100 |
| 35.67 | 64 |
| 16.17 | 61 |
| 41.64 | 46 |
| 14.29 | 31 |
| 22.18 | 23 |

a b c (Å): 8.0509 8.0509 8.0509
angles (deg): 55.63 55.63 55.63
Positions (direct):
Na 0.0000 0.0000 0.0000
Na 0.4963 0.4963 0.4963
Ca 0.6943 0.6943 0.6943
Pu 0.1972 0.1972 0.1972
Br 0.0856 0.4146 0.7957
Br 0.3000 0.9021 0.5998
Br 0.4146 0.7957 0.0856
Br 0.5998 0.3000 0.9021
Br 0.7957 0.0856 0.4146
Br 0.9021 0.5998 0.3000